Record 1
ZnCo17: calculated powder diffractogram (Cu Ka), based on DFT lattice parameters and positions (PBE).
Intensities are scaled so that the largest is 100.

Largest 6 diffraction maxima, by angle, 5° ≤ 2θ ≤ 70°:
- 5.66°, I 99.3
- 8.50°, I 31.7
- 43.47°, I 30.5
- 44.72°, I 100.0
- 45.80°, I 37.5
- 51.75°, I 59.1

Crystal structure
Unit cell a=4.2859 b=4.9457 c=31.2239 alpha=90.00 beta=90.03 gamma=90.00
Fractional coordinates of all 36 atoms:
1 Zn 0.1698 0.2500 0.2709
2 Zn 0.8302 0.7500 0.7291
3 Co 0.0000 0.0000 0.0000
4 Co 0.0003 0.0013 0.1952
5 Co 0.0003 0.4987 0.1952
6 Co 0.0000 0.5000 0.0000
7 Co 0.9997 0.5013 0.8048
8 Co 0.9997 0.9987 0.8048
9 Co 0.1603 0.7500 0.2579
10 Co 0.1650 0.2500 0.8693
11 Co 0.1664 0.7500 0.0650
12 Co 0.1668 0.2500 0.0649
13 Co 0.1693 0.7500 0.8703
14 Co 0.3321 0.0026 0.7418
15 Co 0.3321 0.4974 0.7418
16 Co 0.3335 0.0004 0.9350
17 Co 0.3335 0.4996 0.9350
18 Co 0.3340 0.0004 0.1296
19 Co 0.3340 0.4996 0.1296
20 Co 0.4987 0.7500 0.1949
21 Co 0.4988 0.7500 0.8053
22 Co 0.4998 0.2500 0.0003
23 Co 0.5002 0.7500 0.9997
24 Co 0.5012 0.2500 0.1947
25 Co 0.5013 0.2500 0.8051
26 Co 0.6660 0.9996 0.8704
27 Co 0.6660 0.5004 0.8704
28 Co 0.6665 0.9996 0.0650
29 Co 0.6665 0.5004 0.0650
30 Co 0.6679 0.5026 0.2582
31 Co 0.6679 0.9974 0.2582
32 Co 0.8307 0.2500 0.1297
33 Co 0.8332 0.7500 0.9351
34 Co 0.8336 0.2500 0.9350
35 Co 0.8350 0.7500 0.1307
36 Co 0.8397 0.2500 0.7421

=====

Record 2
ZrZn20Co2: calculated powder diffractogram (Cu Ka), based on DFT lattice parameters and positions (PBE).
Intensities are scaled so that the largest is 100.

Largest 6 diffraction maxima, by angle, 5° ≤ 2θ ≤ 70°:
- 38.47°, I 100.0
- 41.25°, I 39.8
- 42.84°, I 76.2
- 43.36°, I 80.9
- 45.39°, I 24.8
- 46.87°, I 31.6

Crystal structure
Unit cell a=9.7881 b=9.7881 c=9.7881 alpha=60.00 beta=60.00 gamma=60.00
Fractional coordinates of all 46 atoms:
1 Zr 0.1250 0.1250 0.1250
2 Zr 0.8750 0.8750 0.8750
3 Zn 0.0000 0.0000 0.0000
4 Zn 0.0000 0.0000 0.5000
5 Zn 0.0000 0.5000 0.0000
6 Zn 0.0564 0.3239 0.3239
7 Zn 0.0564 0.3239 0.7957
8 Zn 0.0564 0.7957 0.3239
9 Zn 0.2043 0.6761 0.6761
10 Zn 0.2043 0.6761 0.9436
11 Zn 0.2043 0.9436 0.6761
12 Zn 0.2382 0.2382 0.5118
13 Zn 0.2382 0.5118 0.2382
14 Zn 0.2382 0.5118 0.5118
15 Zn 0.3239 0.0564 0.3239
16 Zn 0.3239 0.0564 0.7957
17 Zn 0.3239 0.3239 0.0564
18 Zn 0.3239 0.3239 0.7957
19 Zn 0.3239 0.7957 0.0564
20 Zn 0.3239 0.7957 0.3239
21 Zn 0.4882 0.4882 0.7618
22 Zn 0.4882 0.7618 0.4882
23 Zn 0.4882 0.7618 0.7618
24 Zn 0.5000 0.0000 0.0000
25 Zn 0.5118 0.2382 0.2382
26 Zn 0.5118 0.2382 0.5118
27 Zn 0.5118 0.5118 0.2382
28 Zn 0.6761 0.2043 0.6761
29 Zn 0.6761 0.2043 0.9436
30 Zn 0.6761 0.6761 0.2043
31 Zn 0.6761 0.6761 0.9436
32 Zn 0.6761 0.9436 0.2043
33 Zn 0.6761 0.9436 0.6761
34 Zn 0.7618 0.4882 0.4882
35 Zn 0.7618 0.4882 0.7618
36 Zn 0.7618 0.7618 0.4882
37 Zn 0.7957 0.0564 0.3239
38 Zn 0.7957 0.3239 0.0564
39 Zn 0.7957 0.3239 0.3239
40 Zn 0.9436 0.2043 0.6761
41 Zn 0.9436 0.6761 0.2043
42 Zn 0.9436 0.6761 0.6761
43 Co 0.0000 0.5000 0.5000
44 Co 0.5000 0.0000 0.5000
45 Co 0.5000 0.5000 0.0000
46 Co 0.5000 0.5000 0.5000

=====

Record 3
Zr2ZnCo2: calculated powder diffractogram (Cu Ka), based on DFT lattice parameters and positions (PBE).
Intensities are scaled so that the largest is 100.

Largest 6 diffraction maxima, by angle, 5° ≤ 2θ ≤ 70°:
- 36.90°, I 11.0
- 37.31°, I 36.7
- 39.62°, I 100.0
- 41.45°, I 42.4
- 54.41°, I 13.9
- 61.98°, I 13.3

Crystal structure
Unit cell a=6.8894 b=6.8894 c=3.3725 alpha=90.00 beta=90.00 gamma=90.00
Fractional coordinates of all 10 atoms:
1 Zr 0.1741 0.3259 0.0000
2 Zr 0.3259 0.8259 0.0000
3 Zr 0.6741 0.1741 0.0000
4 Zr 0.8259 0.6741 0.0000
5 Zn 0.0000 0.0000 0.5000
6 Zn 0.5000 0.5000 0.5000
7 Co 0.1272 0.6272 0.5000
8 Co 0.3728 0.1272 0.5000
9 Co 0.6272 0.8728 0.5000
10 Co 0.8728 0.3728 0.5000

=====

- Which formula does entry 3 have?
  Zr2ZnCo2